(1)
For Mn5FeN4, a PBE-relaxed structure gives the theoretical powder diffractogram in this record (λ = 1.5418 Å (Cu Kα)).
No peak broadening, texture or thermal motion is included.

Main lines, in order of rising 2θ (2θ from 15° to 90°):
(2 1 1), 2θ 37.95, intensity 100; (0 0 2), 2θ 38.89, intensity 51; (2 2 0), 2θ 40.18, intensity 65; (0 3 1), 2θ 45.20, intensity 98; (2 2 2), 2θ 57.16, intensity 60; (2 5 1), 2θ 81.45, intensity 25

Cell and atoms:
```
data_Mn5FeN4
_chemical_formula_sum 'Mn10 Fe2 N8'
_cell_length_a 6.0623
_cell_length_b 6.6772
_cell_length_c 4.6312
_cell_angle_alpha 90.00
_cell_angle_beta 90.00
_cell_angle_gamma 90.00
_space_group_name_H-M_alt 'P m m n'
_space_group_IT_number 59
loop_
_space_group_symop_operation_xyz
'x,y,z'
'-x,-y,-z'
'-x+1/2,-y+1/2,z'
'x+1/2,y+1/2,-z'
'x+1/2,-y,-z'
'-x+1/2,y,z'
'-x,y+1/2,-z'
'x,-y+1/2,z'
loop_
_atom_site_label
_atom_site_type_symbol
_atom_site_fract_x
_atom_site_fract_y
_atom_site_fract_z
_atom_site_occupancy
Mn1 Mn 0.0294 0.0610 0.2490 1
Mn2 Mn 0.2500 0.2500 0.7316 1
Fe1 Fe 0.2500 0.7500 0.1512 1
N1 N 0.0308 0.7500 0.4451 1
N2 N 0.2500 0.5032 0.9473 1
```

=====

(2)
For Ba2ErGe3Pt4, a PBE-relaxed structure gives the theoretical powder diffractogram in this record (λ = 1.5418 Å (Cu Kα)).
No peak broadening, texture or thermal motion is included.

Main lines, in order of rising 2θ (2θ from 15° to 90°):
(1 0 3), 2θ 31.43, intensity 32; (1 1 2), 2θ 32.36, intensity 100; (2 0 0), 2θ 39.80, intensity 61; (1 1 4), 2θ 43.43, intensity 34; (2 2 0), 2θ 57.54, intensity 21; (3 1 2), 2θ 67.58, intensity 24

Cell and atoms:
```
data_Ba2ErGe3Pt4
_chemical_formula_sum 'Ba2 Er1 Ge3 Pt4'
_cell_length_a 4.5302
_cell_length_b 4.5302
_cell_length_c 10.9745
_cell_angle_alpha 90.00
_cell_angle_beta 90.00
_cell_angle_gamma 90.00
_space_group_name_H-M_alt 'P -4 m 2'
_space_group_IT_number 115
loop_
_space_group_symop_operation_xyz
'x,y,z'
'y,-x,-z'
'-x,-y,z'
'-y,x,-z'
'-x,y,z'
'-y,-x,-z'
'x,-y,z'
'y,x,-z'
loop_
_atom_site_label
_atom_site_type_symbol
_atom_site_fract_x
_atom_site_fract_y
_atom_site_fract_z
_atom_site_occupancy
Ba1 Ba 0.0000 0.5000 0.2361 1
Er1 Er 0.0000 0.0000 0.5000 1
Ge1 Ge 0.0000 0.5000 0.8852 1
Ge2 Ge 0.5000 0.5000 0.5000 1
Pt1 Pt 0.0000 0.0000 0.0000 1
Pt2 Pt 0.0000 0.5000 0.6473 1
Pt3 Pt 0.5000 0.5000 0.0000 1
```